# FeSe4O10
Computed XRD peak list, Cu Kα X-rays. Input: a structure optimized by DFT (PBE+U).
Peak positions follow from Bragg's law for the DFT cell and can differ from measured ones.

Structure:
Cell lengths 6.0827, 7.0151, 10.5271 Å; angles 90.00, 90.00, 90.00 degrees
Space group Pnc2 (No. 30)
Asymmetric unit:
Fe (0.0000, 0.0000, 0.0000) (multiplicity 2)
Se (0.2174, 0.1503, 0.2913) (multiplicity 4)
Se (0.2907, 0.6485, 0.1105) (multiplicity 4)
O (0.0000, 0.0000, 0.3674) (multiplicity 2)
O (0.1099, 0.1804, 0.1420) (multiplicity 4)
O (0.1596, 0.1398, 0.8607) (multiplicity 4)
O (0.2672, 0.6734, 0.5014) (multiplicity 4)
O (0.4311, 0.7433, 0.2331) (multiplicity 4)
O (0.5000, 0.0000, 0.5222) (multiplicity 2)

Largest 10 diffraction maxima, by angle, 2θ = 10–80°:
(1 1 1), 2θ = 21.1°, I = 30; (1 1 2), 2θ = 25.7°, I = 100; (0 1 3), 2θ = 28.4°, I = 29; (2 0 0), 2θ = 29.4°, I = 16; (1 2 1), 2θ = 30.6°, I = 71; (2 1 0), 2θ = 32.1°, I = 23; (0 0 4), 2θ = 34.1°, I = 15; (1 2 5), 2θ = 52.9°, I = 30; (2 3 3), 2θ = 56.1°, I = 20; (2 4 0), 2θ = 61.0°, I = 17